For K3Ga2BiO6, the PBE geometry in Alexandria gives the calculated powder diffractogram in this record (Cu Kα (λ = 1.5418 Å)).
Peak positions follow from Bragg's law for the DFT cell and can differ from measured ones.

Peak list (10 most intense, 2θ from 10° to 90°, low angle first)
2θ = 12.2°, I = 538
2θ = 16.6°, I = 369
2θ = 20.6°, I = 577
2θ = 28.9°, I = 880
2θ = 29.7°, I = 1000
2θ = 31.4°, I = 269
2θ = 41.9°, I = 512
2θ = 51.2°, I = 177
2θ = 51.7°, I = 422
2θ = 68.2°, I = 182

Cell and atoms:
Cell: 6.1850 6.1850 7.2842 Å, 90.00 90.00 120.00°
Element x y z (fractional)
K1 0.0000 0.0000 0.0000
K2 0.3333 0.6667 0.7503
K3 0.6667 0.3333 0.2497
Ga1 0.3333 0.6667 0.2896
Ga2 0.6667 0.3333 0.7104
Bi1 0.0000 0.0000 0.5000
O1 0.1666 0.3331 0.2852
O2 0.1666 0.8334 0.2852
O3 0.3331 0.1666 0.7148
O4 0.6669 0.8334 0.2852
O5 0.8334 0.1666 0.7148
O6 0.8334 0.6669 0.7148



For K2GaBiO4, the PBE geometry in Alexandria gives the calculated powder diffractogram in this record (Cu Kα (λ = 1.5418 Å)).
Peak positions follow from Bragg's law for the DFT cell and can differ from measured ones.

Peak list (10 most intense, 2θ from 10° to 90°, low angle first)
2θ = 18.1°, I = 560
2θ = 21.0°, I = 142
2θ = 29.8°, I = 1000
2θ = 35.1°, I = 269
2θ = 42.7°, I = 195
2θ = 46.7°, I = 154
2θ = 52.9°, I = 444
2θ = 56.4°, I = 128
2θ = 70.2°, I = 180
2θ = 85.7°, I = 211

Cell and atoms:
Cell: 5.9974 5.9974 5.9974 Å, 120.03 120.03 89.95°
Element x y z (fractional)
K1 0.0000 0.0000 0.0000
K2 0.7500 0.2500 0.5000
Ga1 0.2500 0.7500 0.5000
Bi1 0.5000 0.5000 0.0000
O1 0.2072 0.6471 0.1236
O2 0.3529 0.4765 0.5601
O3 0.5235 0.0836 0.8764
O4 0.9164 0.7928 0.4399